Record 1
Starting from DFT lattice parameters and positions (PBE), the X-ray powder pattern of Ho3In2BRu3 was computed for CuKα.
Lines closer than 0.1° are merged.

Structural model:
Cell: 7.5822 7.5822 3.4734 Å, 90.00 90.00 120.00°
Element x y z (fractional)
Ho: 0.0000 0.3418 0.0000
Ho: 0.3418 0.0000 0.0000
Ho: 0.6582 0.6582 0.0000
In: 0.3333 0.6667 0.5000
In: 0.6667 0.3333 0.5000
B: 0.0000 0.0000 0.0000
Ru: 0.0000 0.7829 0.5000
Ru: 0.2171 0.2171 0.5000
Ru: 0.7829 0.0000 0.5000

Top 10 peaks for 15 to 90 degrees two-theta, sorted by position:
d_spacing	I_rel
3.791	19
2.561	100
2.482	22
2.189	31
2.019	20
1.896	14
1.737	11
1.664	10
1.360	13
1.325	28

---

Record 2
Starting from DFT lattice parameters and positions (PBE), the X-ray powder pattern of Nb4Ni6Rh7 was computed for CuKα.
Lines closer than 0.1° are merged.

Structural model:
Cell: 6.8044 6.8044 6.8044 Å, 109.47 109.47 109.47°
Element x y z (fractional)
Nb: 0.0000 0.0000 0.5000
Nb: 0.0000 0.5000 0.0000
Nb: 0.5000 0.0000 0.0000
Nb: 0.5000 0.5000 0.5000
Ni: 0.0000 0.2982 0.2982
Ni: 0.0000 0.7018 0.7018
Ni: 0.2982 0.0000 0.2982
Ni: 0.2982 0.2982 0.0000
Ni: 0.7018 0.0000 0.7018
Ni: 0.7018 0.7018 0.0000
Rh: 0.0000 0.0000 0.0000
Rh: 0.2500 0.5000 0.7500
Rh: 0.2500 0.7500 0.5000
Rh: 0.5000 0.2500 0.7500
Rh: 0.5000 0.7500 0.2500
Rh: 0.7500 0.2500 0.5000
Rh: 0.7500 0.5000 0.2500

Top 10 peaks for 15 to 90 degrees two-theta, sorted by position:
d_spacing	I_rel
3.208	9
2.778	7
2.268	100
2.100	24
1.964	65
1.675	13
1.389	36
1.184	28
1.158	7
1.134	11

---

Record 3
Starting from DFT lattice parameters and positions (PBE), the X-ray powder pattern of Mg2In5Ni3 was computed for CuKα.
Lines closer than 0.1° are merged.

Structural model:
Cell: 14.3278 14.3278 6.2454 Å, 90.00 90.00 162.53°
Element x y z (fractional)
Mg: 0.0197 0.9803 0.5000
Mg: 0.3469 0.6531 0.4296
Mg: 0.6531 0.3469 0.9296
Mg: 0.9803 0.0197 0.0000
In: 0.0875 0.9125 0.1272
In: 0.2017 0.7983 0.5583
In: 0.2190 0.7810 0.0624
In: 0.3757 0.6243 0.9450
In: 0.4493 0.5507 0.2980
In: 0.5507 0.4493 0.7980
In: 0.6243 0.3757 0.4450
In: 0.7810 0.2190 0.5624
In: 0.7983 0.2017 0.0583
In: 0.9125 0.0875 0.6272
Ni: 0.1118 0.8882 0.7192
Ni: 0.2889 0.7111 0.7846
Ni: 0.4609 0.5391 0.7276
Ni: 0.5391 0.4609 0.2276
Ni: 0.7111 0.2889 0.2846
Ni: 0.8882 0.1118 0.2192

Top 10 peaks for 15 to 90 degrees two-theta, sorted by position:
d_spacing	I_rel
3.049	42
2.964	37
2.677	75
2.550	41
2.527	79
2.450	36
2.360	36
2.316	98
2.176	100
2.150	98